1.
Theoretical powder diffraction line list of Cr7Co for CuKα, from DFT lattice parameters and positions (PBE).
No peak broadening, texture or thermal motion is included.

Top 3 peaks for 2θ = 10–80°, sorted by position:
d [Å], I_rel, index
2.076, 100, 2 2 2
1.798, 46, 4 0 0
1.272, 25, 4 4 0

Structural model:
Lattice parameters (Å, degrees): 7.193 7.193 7.193 90.00 90.00 90.00
Space group Fm-3m (No. 225)
Inequivalent atoms, fractional coordinates:
Cr  0.000  0.000  0.000 x4
Cr  0.000  0.250  0.250 x24
Co  0.000  0.000  0.500 x4


2.
Theoretical powder diffraction line list of NaInAs2S for CuKα, from DFT lattice parameters and positions (PBE).
No peak broadening, texture or thermal motion is included.

Top 12 peaks for 2θ = 10–80°, sorted by position:
d [Å], I_rel, index
5.018, 12, 1 0 0
3.550, 40, 1 0 1
2.898, 100, 1 1 1
2.509, 79, 2 0 0
2.245, 7, 2 1 0
2.048, 17, 2 1 1
1.774, 54, 2 2 0
1.515, 14, 1 1 3
1.512, 27, 3 1 1
1.449, 18, 2 2 2
1.342, 4, 2 1 3
1.254, 5, 4 0 0

Structural model:
Lattice parameters (Å, degrees): 5.014 5.014 5.027 90.00 90.00 90.00
Space group P4/mmm (No. 123)
Inequivalent atoms, fractional coordinates:
Na  0.000  0.000  0.000 x1
In  0.500  0.500  0.000 x1
As  0.000  0.500  0.500 x2
S  0.000  0.000  0.500 x1


3.
Theoretical powder diffraction line list of Nd4BrN2 for CuKα, from DFT lattice parameters and positions (PBE).
No peak broadening, texture or thermal motion is included.

Top 12 peaks for 2θ = 10–80°, sorted by position:
d [Å], I_rel, index
6.902, 18, 0 0 6
3.187, 22, 1 0 1
2.982, 41, 0 1 5
2.813, 100, 1 0 7
2.761, 17, 0 0 15
2.720, 54, 0 1 8
2.257, 33, 1 0 13
1.846, 45, 1 1 0
1.738, 20, 0 1 20
1.543, 16, 0 2 7
1.534, 19, 1 1 15
1.471, 16, 1 0 25

Structural model:
Lattice parameters (Å, degrees): 3.6915 3.6915 41.4115 90.00 90.00 120.00
Space group R-3m (No. 166, hexagonal axes)
Inequivalent atoms, fractional coordinates:
Nd  0.0000  0.0000  0.1225 x6
Nd  0.0000  0.0000  0.2759 x6
Br  0.0000  0.0000  0.0000 x3
N  0.0000  0.0000  0.4220 x6


4.
Theoretical powder diffraction line list of K2HSO4 for CuKα, from DFT lattice parameters and positions (PBE).
No peak broadening, texture or thermal motion is included.

Top 12 peaks for 2θ = 10–80°, sorted by position:
d [Å], I_rel, index
5.949, 88, 1 1 0
5.783, 14, 1 1 -1
4.506, 65, 2 0 0
3.084, 77, 4 0 -2
2.975, 100, 2 2 0
2.891, 24, 2 2 -2
2.340, 24, 5 1 -2
2.253, 23, 4 0 0
2.116, 20, 4 0 -4
1.980, 15, 0 4 0
1.777, 19, 2 2 2
1.724, 19, 2 2 -4

Structural model:
Lattice parameters (Å, degrees): 12.350 7.921 8.463 90.00 133.14 90.00
Space group C2/c (No. 15)
Inequivalent atoms, fractional coordinates:
K  0.000  0.000  0.000 x4
K  0.250  0.250  0.000 x4
H  0.000  0.500  0.000 x4
S  0.250  0.250  0.500 x4
O  0.179  0.067  0.428 x8
O  0.250  0.250  0.313 x8


5.
Theoretical powder diffraction line list of Li4CaIn4 for CuKα, from DFT lattice parameters and positions (PBE).
No peak broadening, texture or thermal motion is included.

Top 12 peaks for 2θ = 10–80°, sorted by position:
d [Å], I_rel, index
6.797, 60, 1 1 0
4.806, 17, 2 0 0
4.005, 27, 1 0 1
3.399, 14, 2 2 0
3.077, 40, 2 1 1
3.040, 13, 3 1 0
2.591, 100, 3 0 1
2.266, 34, 3 3 0
2.203, 16, 0 0 2
1.579, 21, 3 3 2
1.363, 25, 6 3 1
1.335, 12, 3 0 3

Structural model:
Lattice parameters (Å, degrees): 9.613 9.613 4.405 90.00 90.00 90.00
Space group I4/mmm (No. 139)
Inequivalent atoms, fractional coordinates:
Li  0.185  0.185  0.000 x8
Ca  0.000  0.000  0.500 x2
In  0.000  0.331  0.500 x8


6.
Theoretical powder diffraction line list of TaHgCl2 for CuKα, from DFT lattice parameters and positions (PBE).
No peak broadening, texture or thermal motion is included.

Top 12 peaks for 2θ = 10–80°, sorted by position:
d [Å], I_rel, index
5.266, 100, 0 0 2
3.098, 25, 0 1 0
2.990, 41, 1 0 -1
2.962, 38, 1 0 1
2.670, 64, 0 1 2
2.633, 23, 0 0 4
2.152, 23, 1 1 -1
2.141, 24, 1 1 1
2.006, 24, 0 1 4
1.870, 25, 1 1 -3
1.849, 24, 1 1 3
1.756, 19, 0 0 6

Structural model:
Lattice parameters (Å, degrees): 3.103 3.098 10.533 90.00 91.01 90.00
Space group P2/m (No. 10)
Inequivalent atoms, fractional coordinates:
Ta  0.000  0.000  0.000 x1
Hg  0.500  0.000  0.500 x1
Cl  0.011  0.500  0.181 x2


7.
Theoretical powder diffraction line list of Ba3Sc2BiO9 for CuKα, from DFT lattice parameters and positions (PBE).
No peak broadening, texture or thermal motion is included.

Top 12 peaks for 2θ = 10–80°, sorted by position:
d [Å], I_rel, index
7.360, 7, 0 0 1
5.190, 11, 1 0 0
4.242, 8, 0 1 1
2.999, 100, 1 1 0
2.448, 7, 0 2 1
2.121, 32, 2 0 2
1.734, 10, 1 0 4
1.731, 31, 3 0 0
1.501, 10, 0 2 4
1.498, 10, 2 2 0
1.341, 18, 3 1 2
1.224, 5, 0 4 2

Structural model:
Lattice parameters (Å, degrees): 5.9930 5.9930 7.3601 90.00 90.00 120.00
Space group P-3m1 (No. 164)
Inequivalent atoms, fractional coordinates:
Ba  0.0000  0.0000  0.0000 x1
Ba  0.3333  0.6667  0.6711 x2
Sc  0.3333  0.6667  0.1602 x2
Bi  0.0000  0.0000  0.5000 x1
O  0.0000  0.5000  0.0000 x3
O  0.1670  0.3341  0.3325 x6


8.
Theoretical powder diffraction line list of DyTm4Au2 for CuKα, from DFT lattice parameters and positions (PBE).
No peak broadening, texture or thermal motion is included.

Top 12 peaks for 2θ = 10–80°, sorted by position:
d [Å], I_rel, index
5.003, 14, 0 0 6
4.177, 25, 1 0 1
3.677, 21, 1 0 4
3.451, 32, 0 1 5
2.446, 100, 1 0 10
2.435, 99, 1 1 0
1.726, 35, 0 2 10
1.414, 18, 0 1 20
1.408, 36, 2 1 10
1.406, 18, 3 0 0
1.223, 11, 2 0 20
1.218, 11, 2 2 0

Structural model:
Lattice parameters (Å, degrees): 4.8705 4.8705 30.0164 90.00 90.00 120.00
Space group R-3m (No. 166, hexagonal axes)
Inequivalent atoms, fractional coordinates:
Dy  0.0000  0.0000  0.0000 x3
Tm  0.0000  0.0000  0.2010 x6
Tm  0.0000  0.0000  0.3997 x6
Au  0.0000  0.0000  0.1016 x6


9.
Theoretical powder diffraction line list of Rb2CoAsI6 for CuKα, from DFT lattice parameters and positions (PBE).
No peak broadening, texture or thermal motion is included.

Top 12 peaks for 2θ = 10–80°, sorted by position:
d [Å], I_rel, index
5.736, 22, 1 1 0
3.311, 100, 2 0 2
2.868, 94, 2 2 0
2.565, 11, 3 1 0
2.028, 68, 4 0 0
1.912, 6, 0 0 6
1.729, 44, 4 2 2
1.656, 23, 4 0 4
1.435, 4, 0 0 8
1.433, 7, 4 4 0
1.316, 18, 6 0 2
1.283, 30, 6 2 0

Structural model:
Lattice parameters (Å, degrees): 8.108 8.108 11.482 90.00 90.00 90.00
Space group I4/mmm (No. 139)
Inequivalent atoms, fractional coordinates:
Rb  0.000  0.500  0.250 x4
Co  0.000  0.000  0.000 x2
As  0.000  0.000  0.500 x2
I  0.000  0.000  0.243 x4
I  0.244  0.244  0.000 x8


Q: Which formula does entry 8 have?
A: DyTm4Au2